(1)
Calculated XRD peak list
Compound: Ca3In6Pd5
Radiation: Cu Kα (weighted mean of Kα1 and Kα2)
Structure: a PBE-relaxed structure

Peak list (10 most intense, 2θ = 10–80°, in order of rising 2θ)
hkl 0 0 2, 2θ 17.63, rel. 41; hkl 0 3 1, 2θ 21.36, rel. 34; hkl 1 0 1, 2θ 21.74, rel. 25; hkl 1 3 2, 2θ 33.20, rel. 100; hkl 1 0 3, 2θ 33.39, rel. 24; hkl 1 2 3, 2θ 35.94, rel. 42; hkl 1 3 3, 2θ 38.93, rel. 47; hkl 0 6 0, 2θ 39.45, rel. 33; hkl 2 0 0, 2θ 40.32, rel. 65; hkl 1 4 3, 2θ 42.81, rel. 30

Structure:
a b c (Å): 4.4740 13.7040 10.0604
angles (deg): 90.00 90.00 90.00
Space group Pmmn (No. 59, origin choice 2)
Inequivalent atoms, fractional coordinates:
Ca  0.2500  0.0491  0.2494 [4 per cell]
Ca  0.2500  0.7500  0.2790 [2 per cell]
In  0.2500  0.0690  0.5833 [4 per cell]
In  0.2500  0.2500  0.0313 [2 per cell]
In  0.2500  0.2500  0.3978 [2 per cell]
In  0.2500  0.5923  0.9832 [4 per cell]
Pd  0.2500  0.0937  0.8544 [4 per cell]
Pd  0.2500  0.6361  0.5541 [4 per cell]
Pd  0.2500  0.7500  0.7964 [2 per cell]

---

(2)
Calculated XRD peak list
Compound: Ca2InPd5
Radiation: Cu Kα (weighted mean of Kα1 and Kα2)
Structure: a PBE-relaxed structure

Peak list (10 most intense, 2θ = 10–80°, in order of rising 2θ)
hkl 1 1 0, 2θ 20.31, rel. 8; hkl 1 1 2, 2θ 31.06, rel. 6; hkl 2 0 2, 2θ 37.40, rel. 100; hkl 2 2 0, 2θ 41.31, rel. 38; hkl 0 0 4, 2θ 47.52, rel. 12; hkl 3 1 2, 2θ 52.57, rel. 3; hkl 4 0 0, 2θ 59.84, rel. 12; hkl 2 2 4, 2θ 64.76, rel. 19; hkl 4 2 2, 2θ 72.73, rel. 27; hkl 4 0 4, 2θ 79.77, rel. 10

Structure:
a b c (Å): 6.1821 6.1821 7.6530
angles (deg): 90.00 90.00 90.00
Space group I4mm (No. 107)
Inequivalent atoms, fractional coordinates:
Ca  0.0000  0.5000  0.0000 [4 per cell]
In  0.0000  0.0000  0.4991 [2 per cell]
Pd  0.0000  0.0000  0.0001 [2 per cell]
Pd  0.2502  0.2502  0.2499 [8 per cell]